Record 1
Diffraction record for K2AcI6. The PXRD pattern is computed, not measured: it uses a DFT-relaxed cell (GGA-PBE, Alexandria) and Cu Kα, 1.54184 Å.
Lines closer than 0.1° are merged.

```
K2AcI6
1.0
5.0986 0.0000 0.0000
0.0000 8.3186 4.5494
0.0000 -8.3186 4.5494
K Ac I
2 1 6
Direct
0.0000 0.1751 0.8249
0.0000 0.8249 0.1751
0.5000 0.5227 0.5227
0.0000 0.2662 0.5036
0.0000 0.5036 0.2662
0.0000 0.7742 0.7742
0.5000 0.1465 0.1465
0.5000 0.5042 0.8800
0.5000 0.8800 0.5042
```

Main lines, in order of rising 2θ (10° ≤ 2θ ≤ 80°):
10.6 deg, I = 445; 11.1 deg, I = 787; 25.7 deg, I = 1000; 26.3 deg, I = 697; 27.7 deg, I = 368; 28.4 deg, I = 679; 33.7 deg, I = 923; 34.8 deg, I = 281; 35.2 deg, I = 441; 49.5 deg, I = 346



Record 2
Diffraction record for KAcPuI6. The PXRD pattern is computed, not measured: it uses a DFT-relaxed cell (GGA-PBE, Alexandria) and Cu Kα, 1.54184 Å.
Lines closer than 0.1° are merged.

```
KAcPuI6
1.0
5.5834 -5.5843 0.0000
5.5834 5.5843 0.0000
0.0000 0.0000 14.9133
K Ac Pu I
2 2 2 12
Direct
0.0000 0.0000 0.0000
0.5000 0.5000 0.4998
0.0000 0.0000 0.6655
0.5000 0.5000 0.1660
0.0000 0.0000 0.3328
0.5000 0.5000 0.8325
0.1877 0.8123 0.4966
0.2060 0.7940 0.1800
0.2095 0.7905 0.8205
0.2905 0.2905 0.3209
0.2942 0.2942 0.6794
0.3126 0.3126 0.9967
0.6874 0.6874 0.9967
0.7058 0.7058 0.6794
0.7095 0.7095 0.3209
0.7905 0.2095 0.8205
0.7940 0.2060 0.1800
0.8123 0.1877 0.4966
```

Main lines, in order of rising 2θ (10° ≤ 2θ ≤ 80°):
12.7 deg, I = 441; 15.9 deg, I = 884; 24.0 deg, I = 483; 24.0 deg, I = 482; 25.2 deg, I = 319; 31.1 deg, I = 1000; 32.1 deg, I = 533; 38.7 deg, I = 704; 49.1 deg, I = 280; 66.5 deg, I = 282



Record 3
Diffraction record for LiAcI2O8. The PXRD pattern is computed, not measured: it uses a DFT-relaxed cell (GGA-PBE, Alexandria) and Cu Kα, 1.54184 Å.
Lines closer than 0.1° are merged.

```
LiAcI2O8
1.0
-3.8859 3.8859 3.5250
3.8859 -3.8859 3.5250
3.8859 3.8859 -3.5250
Li Ac I O
1 1 2 8
Direct
0.0000 0.0000 0.0000
0.2500 0.7500 0.5000
0.5000 0.5000 0.0000
0.7500 0.2500 0.5000
0.3246 0.1414 0.8168
0.3246 0.5078 0.1832
0.3911 0.0743 0.3168
0.4922 0.6754 0.8168
0.7575 0.0743 0.6832
0.8586 0.6754 0.1832
0.9257 0.2425 0.3168
0.9257 0.6089 0.6832
```

Main lines, in order of rising 2θ (10° ≤ 2θ ≤ 80°):
16.1 deg, I = 401; 17.0 deg, I = 371; 22.9 deg, I = 1000; 28.6 deg, I = 243; 30.1 deg, I = 784; 32.6 deg, I = 241; 45.0 deg, I = 658; 46.7 deg, I = 227; 52.7 deg, I = 177; 56.6 deg, I = 196



Record 4
Diffraction record for SrLiAcI6. The PXRD pattern is computed, not measured: it uses a DFT-relaxed cell (GGA-PBE, Alexandria) and Cu Kα, 1.54184 Å.
Lines closer than 0.1° are merged.

```
SrLiAcI6
1.0
7.6201 0.0000 0.0000
0.0000 7.6201 0.0000
0.0000 0.0000 14.3511
Sr Li Ac I
2 2 2 12
Direct
0.0000 0.0000 0.0000
0.5000 0.5000 0.5000
0.0000 0.0000 0.6663
0.5000 0.5000 0.1663
0.0000 0.0000 0.3356
0.5000 0.5000 0.8356
0.1922 0.1922 0.5128
0.1946 0.1946 0.8228
0.2072 0.2072 0.1695
0.2928 0.7072 0.6695
0.3054 0.6946 0.3228
0.3078 0.6922 0.0128
0.6922 0.3078 0.0128
0.6946 0.3054 0.3228
0.7072 0.2928 0.6695
0.7928 0.7928 0.1695
0.8054 0.8054 0.8228
0.8078 0.8078 0.5128
```

Main lines, in order of rising 2θ (10° ≤ 2θ ≤ 80°):
13.2 deg, I = 241; 16.5 deg, I = 437; 24.9 deg, I = 1000; 26.1 deg, I = 357; 32.3 deg, I = 554; 33.3 deg, I = 316; 37.6 deg, I = 189; 40.2 deg, I = 516; 42.0 deg, I = 183; 69.2 deg, I = 191